Structure and theoretical X-ray diffraction stick pattern of Y4CdTc (DFT lattice parameters and positions (PBE); Cu Kα (λ = 1.5418 Å)).
Kinematic intensities with the Lorentz-polarization factor, no thermal factor.

Crystal structure
a = 7.7243 Å, b = 7.7243 Å, c = 6.2932 Å
α = 99.14°, β = 99.14°, γ = 111.73°
Positions (direct):
Y  0.0651  0.7254  0.9556
Y  0.2000  0.3628  0.6033
Y  0.2746  0.9349  0.5444
Y  0.3628  0.2000  0.1033
Y  0.6372  0.8000  0.8967
Y  0.7254  0.0651  0.4556
Y  0.8000  0.6372  0.3967
Y  0.9349  0.2746  0.0444
Cd  0.3738  0.6262  0.2500
Cd  0.6262  0.3738  0.7500
Tc  0.0013  0.9987  0.7500
Tc  0.9987  0.0013  0.2500

Largest 8 diffraction maxima, most intense first, 15° ≤ 2θ ≤ 90°:
- 2θ 32.6, I = 100
- 2θ 29.4, I = 70
- 2θ 32.3, I = 68
- 2θ 35.5, I = 62
- 2θ 36.8, I = 38
- 2θ 38.0, I = 29
- 2θ 34.4, I = 27
- 2θ 55.7, I = 26